1.
This entry pairs a crystal structure of Sr2InSbS6 with its simulated powder diffraction line list. Radiation: Cu Kα (λ = 1.5418 Å). Structure: a crystal structure in Alexandria, relaxed with PBE.
Kinematic intensities with the Lorentz-polarization factor, no thermal factor.

Most intense lines, 10° ≤ 2θ ≤ 90°, by intensity:
- 2θ = 25.55°, I 100
- 2θ = 25.36°, I 100
- 2θ = 35.92°, I 62
- 2θ = 45.05°, I 53
- 2θ = 36.68°, I 48
- 2θ = 25.74°, I 45
- 2θ = 24.64°, I 41
- 2θ = 45.38°, I 37
- 2θ = 17.74°, I 36
- 2θ = 39.61°, I 32

Structural model:
a = 6.924 Å, b = 7.227 Å, c = 11.942 Å
α = 90.00°, β = 124.85°, γ = 90.00°
Space group P2_1/c (No. 14)
Unique sites:
Sr (0.220, 0.086, 0.248) x4
In (0.000, 0.000, 0.500) x2
Sb (0.500, 0.000, 0.000) x2
S (0.145, 0.189, 0.947) x4
S (0.262, 0.700, 0.947) x4
S (0.368, 0.028, 0.754) x4

***

2.
This entry pairs a crystal structure of Nb3V5B8Ir4 with its simulated powder diffraction line list. Radiation: Cu Kα (λ = 1.5418 Å). Structure: a crystal structure in Alexandria, relaxed with PBE.
Kinematic intensities with the Lorentz-polarization factor, no thermal factor.

Most intense lines, 10° ≤ 2θ ≤ 90°, by intensity:
- 2θ = 42.03°, I 100
- 2θ = 15.40°, I 50
- 2θ = 31.73°, I 36
- 2θ = 38.56°, I 32
- 2θ = 42.14°, I 31
- 2θ = 38.20°, I 24
- 2θ = 30.22°, I 22
- 2θ = 41.85°, I 18
- 2θ = 22.60°, I 17
- 2θ = 56.93°, I 16

Structural model:
a = 7.304 Å, b = 3.235 Å, c = 9.339 Å
α = 90.00°, β = 90.15°, γ = 90.00°
Space group Pm (No. 6)
Unique sites:
Nb (0.000, 0.000, 0.000) x1
Nb (0.144, 0.500, 0.498) x1
Nb (0.644, 0.000, 0.742) x1
V (0.252, 0.000, 0.736) x1
V (0.395, 0.000, 0.010) x1
V (0.505, 0.500, 0.241) x1
V (0.748, 0.500, 0.505) x1
V (0.890, 0.500, 0.236) x1
B (0.208, 0.500, 0.106) x1
B (0.213, 0.500, 0.911) x1
B (0.433, 0.500, 0.834) x1
B (0.440, 0.500, 0.637) x1
B (0.693, 0.000, 0.141) x1
B (0.702, 0.000, 0.331) x1
B (0.930, 0.000, 0.407) x1
B (0.938, 0.000, 0.601) x1
Ir (0.194, 0.000, 0.261) x1
Ir (0.455, 0.000, 0.476) x1
Ir (0.687, 0.500, 0.983) x1
Ir (0.955, 0.500, 0.761) x1

***

Please write out number 2 again, unchanged.
This entry pairs a crystal structure of Nb3V5B8Ir4 with its simulated powder diffraction line list. Radiation: Cu Kα (λ = 1.5418 Å). Structure: a crystal structure in Alexandria, relaxed with PBE.
Kinematic intensities with the Lorentz-polarization factor, no thermal factor.

Most intense lines, 10° ≤ 2θ ≤ 90°, by intensity:
- 2θ = 42.03°, I 100
- 2θ = 15.40°, I 50
- 2θ = 31.73°, I 36
- 2θ = 38.56°, I 32
- 2θ = 42.14°, I 31
- 2θ = 38.20°, I 24
- 2θ = 30.22°, I 22
- 2θ = 41.85°, I 18
- 2θ = 22.60°, I 17
- 2θ = 56.93°, I 16

Structural model:
a = 7.304 Å, b = 3.235 Å, c = 9.339 Å
α = 90.00°, β = 90.15°, γ = 90.00°
Space group Pm (No. 6)
Unique sites:
Nb (0.000, 0.000, 0.000) x1
Nb (0.144, 0.500, 0.498) x1
Nb (0.644, 0.000, 0.742) x1
V (0.252, 0.000, 0.736) x1
V (0.395, 0.000, 0.010) x1
V (0.505, 0.500, 0.241) x1
V (0.748, 0.500, 0.505) x1
V (0.890, 0.500, 0.236) x1
B (0.208, 0.500, 0.106) x1
B (0.213, 0.500, 0.911) x1
B (0.433, 0.500, 0.834) x1
B (0.440, 0.500, 0.637) x1
B (0.693, 0.000, 0.141) x1
B (0.702, 0.000, 0.331) x1
B (0.930, 0.000, 0.407) x1
B (0.938, 0.000, 0.601) x1
Ir (0.194, 0.000, 0.261) x1
Ir (0.455, 0.000, 0.476) x1
Ir (0.687, 0.500, 0.983) x1
Ir (0.955, 0.500, 0.761) x1

***

Repeat the second record exactly.
This entry pairs a crystal structure of Nb3V5B8Ir4 with its simulated powder diffraction line list. Radiation: Cu Kα (λ = 1.5418 Å). Structure: a crystal structure in Alexandria, relaxed with PBE.
Kinematic intensities with the Lorentz-polarization factor, no thermal factor.

Most intense lines, 10° ≤ 2θ ≤ 90°, by intensity:
- 2θ = 42.03°, I 100
- 2θ = 15.40°, I 50
- 2θ = 31.73°, I 36
- 2θ = 38.56°, I 32
- 2θ = 42.14°, I 31
- 2θ = 38.20°, I 24
- 2θ = 30.22°, I 22
- 2θ = 41.85°, I 18
- 2θ = 22.60°, I 17
- 2θ = 56.93°, I 16

Structural model:
a = 7.304 Å, b = 3.235 Å, c = 9.339 Å
α = 90.00°, β = 90.15°, γ = 90.00°
Space group Pm (No. 6)
Unique sites:
Nb (0.000, 0.000, 0.000) x1
Nb (0.144, 0.500, 0.498) x1
Nb (0.644, 0.000, 0.742) x1
V (0.252, 0.000, 0.736) x1
V (0.395, 0.000, 0.010) x1
V (0.505, 0.500, 0.241) x1
V (0.748, 0.500, 0.505) x1
V (0.890, 0.500, 0.236) x1
B (0.208, 0.500, 0.106) x1
B (0.213, 0.500, 0.911) x1
B (0.433, 0.500, 0.834) x1
B (0.440, 0.500, 0.637) x1
B (0.693, 0.000, 0.141) x1
B (0.702, 0.000, 0.331) x1
B (0.930, 0.000, 0.407) x1
B (0.938, 0.000, 0.601) x1
Ir (0.194, 0.000, 0.261) x1
Ir (0.455, 0.000, 0.476) x1
Ir (0.687, 0.500, 0.983) x1
Ir (0.955, 0.500, 0.761) x1